Record 1
For HfMg6Nb, a crystal structure in the Materials Project, relaxed with GGA-PBE gives the calculated powder XRD pattern in this record (Cu Kα (weighted mean of Kα1 and Kα2)).

Top 10 peaks for 2θ from 10° to 90°, in order of rising 2θ:
| index | 2θ/deg | I_rel |
| --- | --- | --- |
| 0 0 2 | 15.73 | 40 |
| 0 1 1 | 16.36 | 100 |
| 1 0 2 | 23.89 | 19 |
| 0 2 2 | 33.06 | 37 |
| 1 1 3 | 33.24 | 27 |
| 2 0 0 | 36.20 | 28 |
| 1 0 4 | 36.68 | 51 |
| 1 2 2 | 37.83 | 51 |
| 2 1 1 | 39.96 | 22 |
| 2 2 2 | 49.82 | 23 |

Crystal structure
Unit cell a=4.963 b=6.181 c=11.270 alpha=90.00 beta=90.00 gamma=90.00
Space group Amm2 (No. 38)
Symmetry-distinct sites (fractional):
Hf: 0.000 0.000 0.000 (multiplicity 2)
Mg: 0.000 0.000 0.475 (multiplicity 2)
Mg: 0.000 0.242 0.230 (multiplicity 4)
Mg: 0.500 0.000 0.633 (multiplicity 2)
Mg: 0.500 0.245 0.878 (multiplicity 4)
Nb: 0.500 0.000 0.108 (multiplicity 2)

Record 2
For HfMg6Nb, a crystal structure in the Materials Project, relaxed with GGA-PBE gives the calculated powder XRD pattern in this record (Cu Kα (weighted mean of Kα1 and Kα2)).

Top 10 peaks for 2θ from 10° to 90°, in order of rising 2θ:
| index | 2θ/deg | I_rel |
| --- | --- | --- |
| 0 0 2 | 15.55 | 86 |
| 1 0 0 | 17.48 | 62 |
| 1 0 2 | 23.48 | 58 |
| 0 2 2 | 34.14 | 44 |
| 2 0 0 | 35.39 | 41 |
| 1 0 4 | 36.16 | 68 |
| 1 2 2 | 38.60 | 100 |
| 1 2 4 | 47.82 | 25 |
| 2 2 2 | 49.98 | 30 |
| 3 2 2 | 65.67 | 24 |

Crystal structure
Unit cell a=5.073 b=5.920 c=11.396 alpha=90.00 beta=90.00 gamma=90.00
Space group Amm2 (No. 38)
Symmetry-distinct sites (fractional):
Hf: 0.000 0.000 0.000 (multiplicity 2)
Mg: 0.000 0.250 0.250 (multiplicity 4)
Mg: 0.500 0.000 0.154 (multiplicity 2)
Mg: 0.500 0.000 0.647 (multiplicity 2)
Mg: 0.500 0.245 0.413 (multiplicity 4)
Nb: 0.000 0.000 0.498 (multiplicity 2)

Record 3
For HfMg14NbO16, a crystal structure in the Materials Project, relaxed with GGA-PBE gives the calculated powder XRD pattern in this record (Cu Kα (weighted mean of Kα1 and Kα2)).

Top 10 peaks for 2θ from 10° to 90°, in order of rising 2θ:
| index | 2θ/deg | I_rel |
| --- | --- | --- |
| 1 1 0 | 14.42 | 75 |
| 2 0 0 | 20.45 | 39 |
| 1 1 1 | 25.01 | 47 |
| 2 2 0 | 29.02 | 50 |
| 2 2 1 | 35.74 | 53 |
| 3 1 1 | 38.73 | 31 |
| 0 0 2 | 41.31 | 51 |
| 4 0 0 | 41.60 | 100 |
| 4 0 2 | 60.07 | 60 |
| 4 4 0 | 60.29 | 29 |

Crystal structure
Unit cell a=8.684 b=8.684 c=4.371 alpha=90.00 beta=90.00 gamma=90.00
Space group P4/mmm (No. 123)
Symmetry-distinct sites (fractional):
Hf: 0.000 0.000 0.000 (multiplicity 1)
Mg: 0.000 0.256 0.500 (multiplicity 4)
Mg: 0.000 0.500 0.000 (multiplicity 2)
Mg: 0.248 0.500 0.500 (multiplicity 4)
Mg: 0.254 0.254 0.000 (multiplicity 4)
Nb: 0.500 0.500 0.000 (multiplicity 1)
O: 0.000 0.000 0.500 (multiplicity 1)
O: 0.000 0.252 0.000 (multiplicity 4)
O: 0.000 0.500 0.500 (multiplicity 2)
O: 0.236 0.500 0.000 (multiplicity 4)
O: 0.249 0.249 0.500 (multiplicity 4)
O: 0.500 0.500 0.500 (multiplicity 1)